Record 1
For TcBr3, the PBE geometry in the Materials Project gives the computed powder diffraction line list in this record (Cu Ka).
Kinematic intensities with the Lorentz-polarization factor, no thermal factor.

Most intense lines, 2θ = 10–90°, sorted by position:
| 2θ (°) | d (Å) | I/Imax |
| --- | --- | --- |
| 14.39 | 6.157 | 100.0 |
| 29.13 | 3.066 | 66.1 |
| 39.08 | 2.305 | 32.3 |
| 41.58 | 2.172 | 13.7 |
| 41.85 | 2.159 | 15.5 |
| 44.13 | 2.052 | 21.8 |
| 49.39 | 1.845 | 14.0 |
| 52.10 | 1.756 | 12.5 |
| 53.69 | 1.707 | 11.2 |
| 60.12 | 1.539 | 7.8 |
| 60.39 | 1.533 | 7.8 |
| 74.07 | 1.280 | 7.6 |

Structural model:
abc: 6.0567 12.3059 7.1130
angles: 90.00 90.00 90.00
Space group Pmmn (No. 59, origin choice 2)
Unique sites:
Tc 0.0273 0.2500 0.2459 x4
Br 0.2500 0.0982 0.3951 x4
Br 0.2500 0.2500 0.9445 x2
Br 0.2500 0.6136 0.8898 x4
Br 0.2500 0.7500 0.4813 x2


Record 2
For TcBr3, the PBE geometry in the Materials Project gives the computed powder diffraction line list in this record (Cu Ka).
Kinematic intensities with the Lorentz-polarization factor, no thermal factor.

Most intense lines, 2θ = 10–90°, sorted by position:
| 2θ (°) | d (Å) | I/Imax |
| --- | --- | --- |
| 14.14 | 6.262 | 100.0 |
| 28.67 | 3.113 | 59.2 |
| 38.53 | 2.336 | 30.9 |
| 40.88 | 2.208 | 16.6 |
| 41.24 | 2.189 | 17.0 |
| 43.35 | 2.087 | 18.9 |
| 48.62 | 1.873 | 15.6 |
| 51.41 | 1.777 | 11.2 |
| 52.70 | 1.737 | 10.0 |
| 59.00 | 1.566 | 8.9 |
| 59.37 | 1.557 | 7.4 |
| 72.71 | 1.301 | 8.4 |

Structural model:
abc: 7.2311 7.2311 6.1227
angles: 90.00 90.00 120.00
Space group P6_3/mcm (No. 193)
Unique sites:
Tc 0.0000 0.0000 0.0000 x2
Br 0.0000 0.2811 0.2500 x6


Record 3
For TcBr4, the PBE geometry in the Materials Project gives the computed powder diffraction line list in this record (Cu Ka).
Kinematic intensities with the Lorentz-polarization factor, no thermal factor.

Most intense lines, 2θ = 10–90°, sorted by position:
| 2θ (°) | d (Å) | I/Imax |
| --- | --- | --- |
| 11.06 | 7.998 | 46.4 |
| 14.11 | 6.277 | 100.0 |
| 18.78 | 4.725 | 22.7 |
| 26.12 | 3.412 | 22.8 |
| 29.32 | 3.046 | 70.9 |
| 30.53 | 2.928 | 55.0 |
| 32.86 | 2.725 | 45.4 |
| 33.96 | 2.640 | 14.3 |
| 37.31 | 2.410 | 15.6 |
| 42.45 | 2.130 | 21.5 |
| 45.36 | 1.999 | 16.2 |
| 47.85 | 1.901 | 28.5 |

Structural model:
abc: 6.4827 13.6498 15.9960
angles: 90.00 90.00 90.00
Space group Pbca (No. 61)
Unique sites:
Tc 0.0980 0.1294 0.1830 x8
Br 0.0413 0.7413 0.4200 x8
Br 0.0762 0.7336 0.1962 x8
Br 0.2287 0.5253 0.3044 x8
Br 0.2394 0.0177 0.0802 x8


Record 4
For TeBr4, the PBE geometry in the Materials Project gives the computed powder diffraction line list in this record (Cu Ka).
Kinematic intensities with the Lorentz-polarization factor, no thermal factor.

Most intense lines, 2θ = 10–90°, sorted by position:
| 2θ (°) | d (Å) | I/Imax |
| --- | --- | --- |
| 10.51 | 8.416 | 13.9 |
| 13.02 | 6.801 | 26.3 |
| 17.75 | 4.997 | 11.7 |
| 18.72 | 4.740 | 11.8 |
| 26.24 | 3.397 | 61.6 |
| 29.98 | 2.981 | 100.0 |
| 31.19 | 2.868 | 46.0 |
| 42.84 | 2.111 | 16.6 |
| 42.99 | 2.104 | 16.6 |
| 43.81 | 2.067 | 62.1 |
| 53.93 | 1.700 | 15.2 |
| 54.06 | 1.696 | 15.8 |

Structural model:
abc: 18.8397 11.4713 16.8895
angles: 90.00 116.69 90.00
Space group C2/c (No. 15)
Unique sites:
Te 0.0021 0.2375 0.3874 x8
Te 0.1372 0.4770 0.8164 x8
Br 0.0009 0.0158 0.3727 x8
Br 0.0013 0.4948 0.8706 x8
Br 0.1073 0.2464 0.0642 x8
Br 0.1164 0.2453 0.5427 x8
Br 0.1232 0.2564 0.3104 x8
Br 0.1270 0.2546 0.8072 x8
Br 0.2380 0.4920 0.7547 x8
Br 0.2396 0.4805 0.9792 x8


Record 5
For Te2Br, the PBE geometry in the Materials Project gives the computed powder diffraction line list in this record (Cu Ka).
Kinematic intensities with the Lorentz-polarization factor, no thermal factor.

Most intense lines, 2θ = 10–90°, sorted by position:
| 2θ (°) | d (Å) | I/Imax |
| --- | --- | --- |
| 14.25 | 6.216 | 27.2 |
| 22.30 | 3.986 | 100.0 |
| 27.52 | 3.241 | 16.9 |
| 29.79 | 2.999 | 85.8 |
| 30.28 | 2.952 | 41.7 |
| 30.38 | 2.942 | 18.1 |
| 33.61 | 2.666 | 42.9 |
| 40.77 | 2.213 | 23.3 |
| 41.12 | 2.195 | 20.6 |
| 44.37 | 2.041 | 39.6 |
| 44.76 | 2.025 | 22.4 |
| 50.56 | 1.805 | 21.5 |

Structural model:
abc: 16.7024 4.0491 13.3941
angles: 90.00 90.00 90.00
Space group Pnma (No. 62)
Unique sites:
Te 0.0818 0.2500 0.2337 x4
Te 0.0968 0.7500 0.0814 x4
Te 0.1893 0.7500 0.6977 x4
Te 0.2250 0.2500 0.5528 x4
Br 0.0608 0.7500 0.3885 x4
Br 0.1563 0.2500 0.8559 x4


Record 6
For Tl2TeBr6, the PBE geometry in the Materials Project gives the computed powder diffraction line list in this record (Cu Ka).
Kinematic intensities with the Lorentz-polarization factor, no thermal factor.

Most intense lines, 2θ = 10–90°, sorted by position:
| 2θ (°) | d (Å) | I/Imax |
| --- | --- | --- |
| 14.05 | 6.303 | 19.3 |
| 22.90 | 3.883 | 35.2 |
| 23.33 | 3.813 | 29.9 |
| 28.32 | 3.151 | 100.0 |
| 31.98 | 2.799 | 38.5 |
| 33.23 | 2.696 | 53.5 |
| 40.74 | 2.215 | 31.3 |
| 46.79 | 1.942 | 40.9 |
| 54.77 | 1.676 | 15.6 |
| 56.41 | 1.631 | 15.0 |
| 58.59 | 1.576 | 15.5 |
| 63.93 | 1.456 | 16.0 |

Structural model:
abc: 7.6260 7.6260 11.1947
angles: 90.00 90.00 90.00
Space group P4/mnc (No. 128)
Unique sites:
Tl 0.0000 0.5000 0.2500 x4
Te 0.0000 0.0000 0.0000 x2
Br 0.0000 0.0000 0.2448 x4
Br 0.1954 0.3010 0.0000 x8


Record 7
For Tl5Te2Br, the PBE geometry in the Materials Project gives the computed powder diffraction line list in this record (Cu Ka).
Kinematic intensities with the Lorentz-polarization factor, no thermal factor.

Most intense lines, 2θ = 10–90°, sorted by position:
| 2θ (°) | d (Å) | I/Imax |
| --- | --- | --- |
| 22.60 | 3.934 | 8.7 |
| 29.59 | 3.019 | 100.0 |
| 30.15 | 2.964 | 15.1 |
| 30.70 | 2.912 | 56.6 |
| 33.21 | 2.698 | 8.1 |
| 40.65 | 2.220 | 9.3 |
| 43.97 | 2.059 | 8.1 |
| 45.46 | 1.995 | 11.2 |
| 48.05 | 1.894 | 9.4 |
| 51.79 | 1.765 | 13.9 |
| 57.77 | 1.596 | 28.3 |
| 79.22 | 1.209 | 7.7 |

Structural model:
abc: 9.2084 9.2084 13.3177
angles: 90.00 90.00 90.00
Space group I4/mcm (No. 140)
Unique sites:
Tl 0.0000 0.0000 0.0000 x4
Tl 0.1471 0.3529 0.1507 x16
Te 0.1561 0.3439 0.5000 x8
Br 0.0000 0.0000 0.2500 x4


Record 8
For TeWBr9, the PBE geometry in the Materials Project gives the computed powder diffraction line list in this record (Cu Ka).
Kinematic intensities with the Lorentz-polarization factor, no thermal factor.

Most intense lines, 2θ = 10–90°, sorted by position:
| 2θ (°) | d (Å) | I/Imax |
| --- | --- | --- |
| 11.38 | 7.774 | 39.6 |
| 13.73 | 6.448 | 27.7 |
| 14.56 | 6.086 | 68.4 |
| 14.73 | 6.015 | 100.0 |
| 19.02 | 4.665 | 40.4 |
| 27.66 | 3.225 | 34.5 |
| 27.94 | 3.193 | 52.3 |
| 29.17 | 3.062 | 33.5 |
| 29.29 | 3.049 | 53.3 |
| 34.73 | 2.583 | 43.4 |
| 44.25 | 2.047 | 42.0 |
| 44.66 | 2.029 | 24.5 |

Structural model:
abc: 7.1129 12.1713 10.3858
angles: 90.00 103.42 90.00
Space group P2_1/m (No. 11)
Unique sites:
Te 0.2430 0.2500 0.4686 x2
W 0.3555 0.2500 0.8536 x2
Br 0.0215 0.2500 0.6847 x2
Br 0.0505 0.0936 0.3357 x4
Br 0.2453 0.1011 0.9745 x4
Br 0.3150 0.7500 0.0113 x2
Br 0.4525 0.1068 0.6945 x4
Br 0.4810 0.7500 0.6511 x2


Record 9
For ZrTe2Br5, the PBE geometry in the Materials Project gives the computed powder diffraction line list in this record (Cu Ka).
Kinematic intensities with the Lorentz-polarization factor, no thermal factor.

Most intense lines, 2θ = 10–90°, sorted by position:
| 2θ (°) | d (Å) | I/Imax |
| --- | --- | --- |
| 11.83 | 7.482 | 59.8 |
| 15.78 | 5.618 | 57.8 |
| 19.36 | 4.586 | 21.9 |
| 23.29 | 3.820 | 16.1 |
| 24.95 | 3.569 | 67.2 |
| 27.76 | 3.213 | 26.8 |
| 30.00 | 2.978 | 100.0 |
| 30.39 | 2.941 | 65.0 |
| 38.93 | 2.313 | 25.6 |
| 40.18 | 2.244 | 19.1 |
| 41.36 | 2.183 | 31.0 |
| 47.73 | 1.906 | 50.7 |

Structural model:
abc: 14.5720 11.4362 9.9087
angles: 90.00 129.55 90.00
Space group C2/m (No. 12)
Unique sites:
Zr 0.0000 0.1878 0.0000 x4
Te 0.0000 0.3315 0.5000 x4
Te 0.0574 0.5000 0.3689 x4
Br 0.0835 0.1732 0.3291 x8
Br 0.1495 0.0000 0.0802 x4
Br 0.1645 0.3285 0.0852 x8


Record 10
For ThBr2, the PBE geometry in the Materials Project gives the computed powder diffraction line list in this record (Cu Ka).
Kinematic intensities with the Lorentz-polarization factor, no thermal factor.

Most intense lines, 2θ = 10–90°, sorted by position:
| 2θ (°) | d (Å) | I/Imax |
| --- | --- | --- |
| 13.13 | 6.745 | 60.8 |
| 21.55 | 4.123 | 27.1 |
| 26.43 | 3.372 | 100.0 |
| 26.97 | 3.306 | 37.1 |
| 32.06 | 2.791 | 37.0 |
| 32.60 | 2.747 | 25.9 |
| 36.04 | 2.492 | 18.4 |
| 40.55 | 2.225 | 26.1 |
| 41.65 | 2.168 | 37.1 |
| 43.45 | 2.083 | 25.0 |
| 55.60 | 1.653 | 18.5 |
| 67.06 | 1.396 | 23.7 |

Structural model:
abc: 7.5860 7.5860 14.7356
angles: 90.00 90.00 90.00
Space group I4_1/a (No. 88, origin choice 2)
Unique sites:
Th 0.0000 0.0000 0.0000 x8
Br 0.1617 0.0368 0.4105 x16


Record 11
For TiBr3, the PBE geometry in the Materials Project gives the computed powder diffraction line list in this record (Cu Ka).
Kinematic intensities with the Lorentz-polarization factor, no thermal factor.

Most intense lines, 2θ = 10–90°, sorted by position:
| 2θ (°) | d (Å) | I/Imax |
| --- | --- | --- |
| 12.96 | 6.832 | 36.5 |
| 16.34 | 5.426 | 11.2 |
| 26.08 | 3.416 | 25.5 |
| 30.32 | 2.947 | 17.2 |
| 30.48 | 2.933 | 100.0 |
| 30.56 | 2.926 | 16.7 |
| 38.23 | 2.354 | 45.8 |
| 48.43 | 1.879 | 11.3 |
| 48.48 | 1.878 | 10.9 |
| 48.69 | 1.870 | 22.6 |
| 48.89 | 1.863 | 12.1 |
| 48.96 | 1.860 | 10.9 |

Structural model:
abc: 6.4827 6.4882 7.7806
angles: 114.50 90.11 119.66
Space group P-1 (No. 2)
Unique sites:
Ti 0.1607 0.3412 0.0000 x2
Br 0.0743 0.8558 0.7832 x2
Br 0.2250 0.7998 0.2265 x2
Br 0.4269 0.5008 0.7813 x2